1.
Nd2HoTh: calculated X-ray diffraction stick pattern (λ = 1.5418 Å (Cu Kα)), based on a PBE-relaxed structure.
Kinematic intensities with the Lorentz-polarization factor, no thermal factor.

Structural model:
Unit cell a=12.5139 b=7.1991 c=6.2812 alpha=90.00 beta=109.18 gamma=90.00
Space group C2/c (No. 15)
One atom of each set of equivalent atoms:
Nd  0.2481  0.1268  0.2487
Ho  0.0000  0.3717  0.2500
Th  0.0000  0.1164  0.7500

Principal peaks in the range 5° ≤ 2θ ≤ 70°, sorted by position:
| hkl | 2θ (°) | d/Å | I_rel |
| --- | --- | --- | --- |
| 0 0 2 | 30.1 | 2.966 | 50 |
| 4 0 0 | 30.2 | 2.955 | 49 |
| 2 2 -1 | 30.4 | 2.943 | 98 |
| 4 0 -2 | 35.1 | 2.556 | 100 |
| 2 2 -3 | 50.4 | 1.810 | 24 |
| 6 2 -1 | 50.6 | 1.805 | 24 |
| 2 2 3 | 59.8 | 1.547 | 14 |
| 4 0 -4 | 59.9 | 1.544 | 22 |
| 8 0 -2 | 60.1 | 1.539 | 35 |
| 4 4 0 | 60.2 | 1.537 | 14 |

2.
Nd2Ho3Th4: calculated X-ray diffraction stick pattern (λ = 1.5418 Å (Cu Kα)), based on a PBE-relaxed structure.
Kinematic intensities with the Lorentz-polarization factor, no thermal factor.

Structural model:
Unit cell a=18.6584 b=3.5980 c=9.7319 alpha=90.00 beta=115.44 gamma=90.00
Space group C2/m (No. 12)
One atom of each set of equivalent atoms:
Nd  0.1636  0.0000  0.4991
Ho  0.0000  0.5000  0.5000
Ho  0.1470  0.5000  0.1662
Th  0.0251  0.0000  0.8368
Th  0.1840  0.5000  0.8401

Principal peaks in the range 5° ≤ 2θ ≤ 70°, sorted by position:
| hkl | 2θ (°) | d/Å | I_rel |
| --- | --- | --- | --- |
| 6 0 -1 | 28.9 | 3.091 | 33 |
| 6 0 -2 | 29.5 | 3.030 | 32 |
| 0 0 3 | 30.5 | 2.929 | 59 |
| 3 1 -2 | 31.8 | 2.818 | 73 |
| 6 0 0 | 31.9 | 2.808 | 32 |
| 3 1 1 | 33.4 | 2.681 | 100 |
| 0 2 0 | 50.8 | 1.797 | 43 |
| 3 1 4 | 57.2 | 1.610 | 16 |
| 0 2 3 | 60.4 | 1.533 | 34 |
| 9 1 1 | 60.6 | 1.529 | 17 |

3.
Nd8Ho3Th2: calculated X-ray diffraction stick pattern (λ = 1.5418 Å (Cu Kα)), based on a PBE-relaxed structure.
Kinematic intensities with the Lorentz-polarization factor, no thermal factor.

Structural model:
Unit cell a=6.2931 b=8.1016 c=18.1660 alpha=100.08 beta=90.12 gamma=104.96
Space group P-1 (No. 2)
One atom of each set of equivalent atoms:
Nd  0.0391  0.1159  0.2691
Nd  0.0760  0.7374  0.5380
Nd  0.1208  0.3493  0.8053
Nd  0.1567  0.9674  0.0783
Nd  0.1994  0.5797  0.3435
Nd  0.2664  0.8011  0.8822
Nd  0.3410  0.0369  0.4235
Nd  0.4235  0.2749  0.9621
Ho  0.0000  0.5000  0.0000
Ho  0.3894  0.6498  0.6925
Ho  0.4654  0.8815  0.2319
Ho  0.5000  0.5000  0.5000
Th  0.2356  0.1971  0.6151
Th  0.3086  0.4244  0.1534

Principal peaks in the range 5° ≤ 2θ ≤ 70°, sorted by position:
| hkl | 2θ (°) | d/Å | I_rel |
| --- | --- | --- | --- |
| -1 2 3 | 30.1 | 2.968 | 34 |
| 2 -1 2 | 30.2 | 2.963 | 100 |
| 1 1 5 | 34.9 | 2.571 | 45 |
| 1 -3 3 | 35.0 | 2.561 | 22 |
| 3 1 1 | 50.2 | 1.817 | 24 |
| 2 -2 8 | 50.3 | 1.814 | 24 |
| 1 0 11 | 59.6 | 1.550 | 24 |
| 3 0 7 | 59.7 | 1.548 | 19 |
| 3 -4 5 | 59.9 | 1.545 | 14 |
| 4 -2 4 | 62.7 | 1.482 | 12 |

4.
Nd3Ho4Th2: calculated X-ray diffraction stick pattern (λ = 1.5418 Å (Cu Kα)), based on a PBE-relaxed structure.
Kinematic intensities with the Lorentz-polarization factor, no thermal factor.

Structural model:
Unit cell a=3.5698 b=3.5698 c=26.8764 alpha=90.00 beta=90.00 gamma=120.00
Space group P3m1 (No. 156)
One atom of each set of equivalent atoms:
Nd  0.0000  0.0000  0.0000
Nd  0.0000  0.0000  0.3439
Nd  0.6667  0.3333  0.6692
Ho  0.0000  0.0000  0.5596
Ho  0.0000  0.0000  0.7804
Ho  0.6667  0.3333  0.2373
Ho  0.6667  0.3333  0.4558
Th  0.6667  0.3333  0.1128
Th  0.6667  0.3333  0.8867

Principal peaks in the range 5° ≤ 2θ ≤ 70°, sorted by position:
| hkl | 2θ (°) | d/Å | I_rel |
| --- | --- | --- | --- |
| 1 0 0 | 28.9 | 3.092 | 50 |
| 0 0 9 | 29.9 | 2.986 | 49 |
| 1 0 3 | 30.6 | 2.922 | 14 |
| 1 0 4 | 31.9 | 2.808 | 61 |
| 0 1 5 | 33.4 | 2.680 | 100 |
| 1 0 9 | 42.1 | 2.148 | 32 |
| 1 1 0 | 51.2 | 1.785 | 37 |
| 0 1 14 | 56.4 | 1.631 | 31 |
| 1 1 9 | 60.4 | 1.532 | 41 |
| 2 0 5 | 62.5 | 1.486 | 18 |

5.
Nd3Ho8Th: calculated X-ray diffraction stick pattern (λ = 1.5418 Å (Cu Kα)), based on a PBE-relaxed structure.
Kinematic intensities with the Lorentz-polarization factor, no thermal factor.

Structural model:
Unit cell a=6.3980 b=11.3938 c=11.5132 alpha=90.00 beta=90.00 gamma=90.00
Space group Immm (No. 71)
One atom of each set of equivalent atoms:
Nd  0.0000  0.0000  0.0000
Nd  0.0000  0.2404  0.5000
Ho  0.0000  0.2517  0.1715
Ho  0.2481  0.5000  0.2507
Th  0.0000  0.5000  0.0000

Principal peaks in the range 5° ≤ 2θ ≤ 70°, sorted by position:
| hkl | 2θ (°) | d/Å | I_rel |
| --- | --- | --- | --- |
| 1 0 1 | 15.8 | 5.592 | 15 |
| 0 4 0 | 31.4 | 2.849 | 100 |
| 2 2 0 | 32.1 | 2.792 | 43 |
| 0 2 4 | 34.9 | 2.569 | 14 |
| 2 2 2 | 35.8 | 2.510 | 32 |
| 2 4 2 | 45.5 | 1.995 | 12 |
| 3 2 3 | 51.6 | 1.772 | 16 |
| 2 0 6 | 55.9 | 1.645 | 26 |
| 2 4 6 | 65.5 | 1.425 | 22 |
| 4 4 0 | 67.1 | 1.395 | 11 |

6.
Nd3Ho8Th3: calculated X-ray diffraction stick pattern (λ = 1.5418 Å (Cu Kα)), based on a PBE-relaxed structure.
Kinematic intensities with the Lorentz-polarization factor, no thermal factor.

Structural model:
Unit cell a=5.6494 b=10.7339 c=15.0729 alpha=90.00 beta=90.00 gamma=90.00
Space group Immm (No. 71)
One atom of each set of equivalent atoms:
Nd  0.0000  0.0000  0.0000
Nd  0.0000  0.3093  0.0000
Ho  0.0000  0.1579  0.2247
Ho  0.0000  0.3402  0.3962
Th  0.0000  0.0000  0.5000
Th  0.0000  0.5000  0.1864

Principal peaks in the range 5° ≤ 2θ ≤ 70°, sorted by position:
| hkl | 2θ (°) | d/Å | I_rel |
| --- | --- | --- | --- |
| 1 2 3 | 29.0 | 3.077 | 21 |
| 1 1 4 | 29.7 | 3.009 | 30 |
| 0 3 3 | 30.7 | 2.914 | 24 |
| 2 0 0 | 31.7 | 2.825 | 50 |
| 1 3 2 | 31.9 | 2.805 | 100 |
| 1 0 5 | 33.7 | 2.660 | 44 |
| 2 3 3 | 44.7 | 2.027 | 24 |
| 3 3 2 | 56.6 | 1.627 | 20 |
| 3 0 5 | 57.7 | 1.598 | 19 |
| 2 6 0 | 61.3 | 1.511 | 13 |

7.
Nd12HoTh5: calculated X-ray diffraction stick pattern (λ = 1.5418 Å (Cu Kα)), based on a PBE-relaxed structure.
Kinematic intensities with the Lorentz-polarization factor, no thermal factor.

Structural model:
Unit cell a=15.3759 b=15.5569 c=5.1375 alpha=90.00 beta=90.00 gamma=90.00
Space group Cmmm (No. 65)
One atom of each set of equivalent atoms:
Nd  0.0000  0.1573  0.0000
Nd  0.0000  0.3373  0.5000
Nd  0.1666  0.1581  0.5000
Nd  0.1667  0.3406  0.0000
Ho  0.0000  0.5000  0.0000
Th  0.0000  0.0000  0.5000
Th  0.1649  0.5000  0.5000
Th  0.1683  0.0000  0.0000

Principal peaks in the range 5° ≤ 2θ ≤ 70°, sorted by position:
| hkl | 2θ (°) | d/Å | I_rel |
| --- | --- | --- | --- |
| 0 2 0 | 11.4 | 7.778 | 8 |
| 3 3 1 | 30.1 | 2.973 | 100 |
| 0 6 0 | 34.6 | 2.593 | 17 |
| 6 0 0 | 35.0 | 2.566 | 34 |
| 6 6 0 | 50.0 | 1.824 | 24 |
| 6 0 2 | 50.3 | 1.814 | 12 |
| 3 9 1 | 59.2 | 1.561 | 14 |
| 3 3 3 | 59.7 | 1.550 | 16 |
| 9 3 1 | 59.8 | 1.547 | 14 |
| 6 6 2 | 62.5 | 1.486 | 12 |

8.
Nd6HoTh: calculated X-ray diffraction stick pattern (λ = 1.5418 Å (Cu Kα)), based on a PBE-relaxed structure.
Kinematic intensities with the Lorentz-polarization factor, no thermal factor.

Structural model:
Unit cell a=6.0820 b=6.0820 c=14.8664 alpha=90.00 beta=90.00 gamma=90.00
Space group I4/mmm (No. 139)
One atom of each set of equivalent atoms:
Nd  0.0000  0.0000  0.2434
Nd  0.0000  0.5000  0.1211
Ho  0.0000  0.0000  0.5000
Th  0.0000  0.0000  0.0000

Principal peaks in the range 5° ≤ 2θ ≤ 70°, sorted by position:
| hkl | 2θ (°) | d/Å | I_rel |
| --- | --- | --- | --- |
| 0 0 2 | 11.9 | 7.433 | 2 |
| 2 0 0 | 29.4 | 3.041 | 62 |
| 1 1 4 | 31.8 | 2.812 | 100 |
| 2 2 0 | 42.0 | 2.150 | 25 |
| 0 0 8 | 49.0 | 1.858 | 7 |
| 3 1 4 | 53.7 | 1.708 | 46 |
| 2 0 8 | 58.2 | 1.586 | 17 |
| 4 0 0 | 60.9 | 1.520 | 9 |
| 2 2 8 | 66.5 | 1.406 | 12 |
| 4 2 0 | 69.1 | 1.360 | 11 |

Please write out number 1 again, unchanged.
Nd2HoTh: calculated X-ray diffraction stick pattern (λ = 1.5418 Å (Cu Kα)), based on a PBE-relaxed structure.
Kinematic intensities with the Lorentz-polarization factor, no thermal factor.

Structural model:
Unit cell a=12.5139 b=7.1991 c=6.2812 alpha=90.00 beta=109.18 gamma=90.00
Space group C2/c (No. 15)
One atom of each set of equivalent atoms:
Nd  0.2481  0.1268  0.2487
Ho  0.0000  0.3717  0.2500
Th  0.0000  0.1164  0.7500

Principal peaks in the range 5° ≤ 2θ ≤ 70°, sorted by position:
| hkl | 2θ (°) | d/Å | I_rel |
| --- | --- | --- | --- |
| 0 0 2 | 30.1 | 2.966 | 50 |
| 4 0 0 | 30.2 | 2.955 | 49 |
| 2 2 -1 | 30.4 | 2.943 | 98 |
| 4 0 -2 | 35.1 | 2.556 | 100 |
| 2 2 -3 | 50.4 | 1.810 | 24 |
| 6 2 -1 | 50.6 | 1.805 | 24 |
| 2 2 3 | 59.8 | 1.547 | 14 |
| 4 0 -4 | 59.9 | 1.544 | 22 |
| 8 0 -2 | 60.1 | 1.539 | 35 |
| 4 4 0 | 60.2 | 1.537 | 14 |